Record 1
This entry pairs a crystal structure of PbO2 with its simulated X-ray powder pattern. Radiation: Cu Ka. Structure: a DFT-relaxed cell (PBE, the Materials Project).

Structure:
```
PbO2
1.0
5.404 0.000 0.000
0.000 5.404 0.000
0.000 0.000 5.404
Pb O
4 8
direct
0.000 0.000 0.000
0.000 0.500 0.500
0.500 0.000 0.500
0.500 0.500 0.000
0.250 0.250 0.250
0.250 0.250 0.750
0.250 0.750 0.250
0.250 0.750 0.750
0.750 0.250 0.250
0.750 0.250 0.750
0.750 0.750 0.250
0.750 0.750 0.750
```

Top 9 peaks for 2θ = 10–90°, most intense first:
- (1 1 1), 3.120 Å, 2θ = 28.6°, I = 100
- (2 2 0), 1.911 Å, 2θ = 47.6°, I = 50
- (3 1 1), 1.629 Å, 2θ = 56.5°, I = 47
- (2 0 0), 2.702 Å, 2θ = 33.2°, I = 36
- (3 3 1), 1.240 Å, 2θ = 76.9°, I = 20
- (4 2 2), 1.103 Å, 2θ = 88.7°, I = 18
- (4 2 0), 1.208 Å, 2θ = 79.3°, I = 15
- (2 2 2), 1.560 Å, 2θ = 59.2°, I = 10
- (4 0 0), 1.351 Å, 2θ = 69.6°, I = 8


Record 2
This entry pairs a crystal structure of PbO with its simulated X-ray powder pattern. Radiation: Cu Ka. Structure: a DFT-relaxed cell (PBE, the Materials Project).

Structure:
```
PbO
1.0
5.791 0.000 0.000
0.000 5.955 0.000
0.000 0.000 5.452
Pb O
4 4
direct
0.026 0.221 0.000
0.474 0.221 0.500
0.526 0.779 0.000
0.974 0.779 0.500
0.116 0.116 0.615
0.384 0.116 0.115
0.616 0.884 0.615
0.884 0.884 0.115
```

Top 10 peaks for 2θ = 10–90°, most intense first:
- (1 1 1), 3.303 Å, 2θ = 27.0°, I = 100
- (0 2 0), 2.978 Å, 2θ = 30.0°, I = 19
- (2 0 0), 2.895 Å, 2θ = 30.9°, I = 19
- (0 0 2), 2.726 Å, 2θ = 32.9°, I = 18
- (1 1 3), 1.665 Å, 2θ = 55.2°, I = 16
- (1 3 1), 1.775 Å, 2θ = 51.5°, I = 16
- (2 0 2), 1.985 Å, 2θ = 45.7°, I = 15
- (3 1 1), 1.740 Å, 2θ = 52.6°, I = 15
- (0 2 2), 2.011 Å, 2θ = 45.1°, I = 13
- (2 2 0), 2.076 Å, 2θ = 43.6°, I = 13